Diffraction record for Sr3NpN3. The powder diffraction line list is calculated, not measured: it uses a crystal structure in Alexandria, relaxed with PBE and a wavelength of 1.5418 Å.

Top 6 peaks for 10 to 80 degrees two-theta, in order of falling intensity:
two_theta  I (rel.)  hkl
29.34  100  2 2 1
33.12  26  0 0 2
18.49  23  1 0 1
34.19  22  0 4 0
34.70  20  4 0 0
48.34  17  0 4 2

Structure:
Unit cell a=10.3408 b=10.4909 c=5.4095 alpha=90.00 beta=90.00 gamma=90.00
Element x y z (fractional)
Sr: 0.1259 0.1201 0.0000
Sr: 0.1312 0.3627 0.5000
Sr: 0.1385 0.8781 0.5000
Sr: 0.3615 0.3781 0.0000
Sr: 0.3688 0.8627 0.0000
Sr: 0.3741 0.6201 0.5000
Sr: 0.6259 0.3799 0.5000
Sr: 0.6312 0.1373 0.0000
Sr: 0.6385 0.6219 0.0000
Sr: 0.8615 0.1219 0.5000
Sr: 0.8688 0.6373 0.5000
Sr: 0.8741 0.8799 0.0000
Np: 0.1138 0.6288 0.0000
Np: 0.3862 0.1288 0.5000
Np: 0.6138 0.8712 0.5000
Np: 0.8862 0.3712 0.0000
N: 0.0881 0.3858 0.0000
N: 0.1171 0.8413 0.0000
N: 0.1865 0.1177 0.5000
N: 0.3135 0.6177 0.0000
N: 0.3829 0.3413 0.5000
N: 0.4119 0.8858 0.5000
N: 0.5881 0.1142 0.5000
N: 0.6171 0.6587 0.5000
N: 0.6865 0.3823 0.0000
N: 0.8135 0.8823 0.5000
N: 0.8829 0.1587 0.0000
N: 0.9119 0.6142 0.0000